Starting from a cell relaxed with GGA+U, the powder XRD pattern of CeEu2WO6 was computed for Cu Kα (weighted mean of Kα1 and Kα2).
Intensities are scaled so that the largest is 100.

Crystal structure
```
CeEu2WO6
1.0
0.0000 4.2493 4.2493
4.2493 0.0000 4.2493
4.2493 4.2493 0.0000
Ce Eu W O
1 2 1 6
Direct
0.0000 0.0000 0.0000
0.2500 0.2500 0.2500
0.7500 0.7500 0.7500
0.5000 0.5000 0.5000
0.2617 0.2617 0.7383
0.2617 0.7383 0.2617
0.2617 0.7383 0.7383
0.7383 0.2617 0.2617
0.7383 0.2617 0.7383
0.7383 0.7383 0.2617
```

Principal peaks in the range 2θ = 10–90°, by angle:
18.08°, 4.907 Å, I 1.5; 20.91°, 4.249 Å, I 1.0; 29.73°, 3.005 Å, I 100.0; 36.63°, 2.453 Å, I 0.8; 42.55°, 2.125 Å, I 27.9; 52.77°, 1.735 Å, I 41.1; 61.75°, 1.502 Å, I 17.7; 70.02°, 1.344 Å, I 18.1; 77.87°, 1.227 Å, I 5.9; 85.50°, 1.136 Å, I 21.8

***

Starting from a cell relaxed with GGA+U, the powder XRD pattern of CeEu2WO6 was computed for Cu Kα (weighted mean of Kα1 and Kα2).
Intensities are scaled so that the largest is 100.

Crystal structure
```
CeEu2WO6
1.0
8.4838 0.0000 0.0000
0.0000 8.4838 0.0000
0.0000 0.0000 8.4838
Ce Eu W O
4 8 4 24
Direct
0.0000 0.0000 0.0000
0.0000 0.5000 0.5000
0.5000 0.0000 0.5000
0.5000 0.5000 0.0000
0.2500 0.2500 0.2500
0.2500 0.2500 0.7500
0.2500 0.7500 0.2500
0.2500 0.7500 0.7500
0.7500 0.2500 0.2500
0.7500 0.2500 0.7500
0.7500 0.7500 0.2500
0.7500 0.7500 0.7500
0.0000 0.0000 0.5000
0.0000 0.5000 0.0000
0.5000 0.0000 0.0000
0.5000 0.5000 0.5000
0.0412 0.5482 0.7618
0.0412 0.9518 0.7382
0.0482 0.2382 0.5412
0.0482 0.2618 0.9588
0.2382 0.5412 0.0482
0.2382 0.9588 0.4518
0.2618 0.5412 0.4518
0.2618 0.9588 0.0482
0.4518 0.2382 0.9588
0.4518 0.2618 0.5412
0.4588 0.5482 0.7382
0.4588 0.9518 0.7618
0.5412 0.0482 0.2382
0.5412 0.4518 0.2618
0.5482 0.7382 0.4588
0.5482 0.7618 0.0412
0.7382 0.0412 0.9518
0.7382 0.4588 0.5482
0.7618 0.0412 0.5482
0.7618 0.4588 0.9518
0.9518 0.7382 0.0412
0.9518 0.7618 0.4588
0.9588 0.0482 0.2618
0.9588 0.4518 0.2382
```

Principal peaks in the range 2θ = 10–90°, by angle:
18.11°, 4.898 Å, I 1.4; 20.94°, 4.242 Å, I 0.6; 29.79°, 2.999 Å, I 100.0; 35.08°, 2.558 Å, I 0.5; 42.63°, 2.121 Å, I 25.1; 52.87°, 1.732 Å, I 44.9; 61.87°, 1.500 Å, I 15.2; 70.16°, 1.341 Å, I 18.3; 78.04°, 1.225 Å, I 5.0; 85.69°, 1.134 Å, I 22.7